Record 1
Calculated powder XRD pattern
Compound: Tl3Sn
Radiation: Cu Ka
Structure: DFT lattice parameters and positions (GGA-PBE)
Intensities are scaled so that the largest is 100.

Principal peaks in the range 2θ from 5° to 70°, by angle:
index  2theta  intensity
2 0 -2  30.8  53
1 1 1  31.6  100
4 0 0  31.8  49
3 1 -1  35.9  71
2 0 2  37.6  31
1 1 -3  52.3  25

Crystal structure
```
data_Tl3Sn
_cell_length_a 11.576
_cell_length_b 3.517
_cell_length_c 6.052
_cell_angle_alpha 90.00
_cell_angle_beta 103.40
_cell_angle_gamma 90.00
_symmetry_space_group_name_H-M 'C 1 2/m 1'
_symmetry_Int_Tables_number 12
loop_
_symmetry_equiv_pos_as_xyz
'x,y,z'
'-x,-y,-z'
'-x,y,-z'
'x,-y,z'
'x+1/2,y+1/2,z'
'-x+1/2,-y+1/2,-z'
'-x+1/2,y+1/2,-z'
'x+1/2,-y+1/2,z'
loop_
_atom_site_label
_atom_site_type_symbol
_atom_site_fract_x
_atom_site_fract_y
_atom_site_fract_z
Tl1 Tl 0.000 0.000 0.000
Tl2 Tl 0.244 0.000 0.745
Sn1 Sn 0.000 0.500 0.500
```

Record 2
Calculated powder XRD pattern
Compound: Sm2MnP3Ir4
Radiation: Cu Ka
Structure: DFT lattice parameters and positions (GGA-PBE)
Intensities are scaled so that the largest is 100.

Principal peaks in the range 2θ from 5° to 70°, by angle:
index  2theta  intensity
1 0 2  28.3  28
1 1 1  32.2  58
1 0 3  34.9  59
1 1 2  35.9  100
2 0 0  44.2  65
2 1 3  57.5  28

Crystal structure
```
data_Sm2MnP3Ir4
_cell_length_a 4.095
_cell_length_b 4.095
_cell_length_c 9.907
_cell_angle_alpha 90.00
_cell_angle_beta 90.00
_cell_angle_gamma 90.00
_symmetry_space_group_name_H-M 'P -4 m 2'
_symmetry_Int_Tables_number 115
loop_
_symmetry_equiv_pos_as_xyz
'x,y,z'
'y,-x,-z'
'-x,-y,z'
'-y,x,-z'
'-x,y,z'
'-y,-x,-z'
'x,-y,z'
'y,x,-z'
loop_
_atom_site_label
_atom_site_type_symbol
_atom_site_fract_x
_atom_site_fract_y
_atom_site_fract_z
Sm1 Sm 0.000 0.500 0.247
Mn1 Mn 0.500 0.500 0.000
P1 P 0.000 0.000 0.000
P2 P 0.000 0.500 0.638
Ir1 Ir 0.000 0.000 0.500
Ir2 Ir 0.000 0.500 0.872
Ir3 Ir 0.500 0.500 0.500
```

Record 3
Calculated powder XRD pattern
Compound: BaPa2PbO7
Radiation: Cu Ka
Structure: DFT lattice parameters and positions (GGA-PBE)
Intensities are scaled so that the largest is 100.

Principal peaks in the range 2θ from 5° to 70°, by angle:
index  2theta  intensity
1 0 1  20.7  75
1 0 3  23.6  66
1 0 5  28.7  100
1 1 2  30.0  51
2 0 0  41.2  48
2 1 5  51.0  43

Crystal structure
```
data_BaPa2PbO7
_cell_length_a 4.378
_cell_length_b 4.378
_cell_length_c 22.108
_cell_angle_alpha 90.00
_cell_angle_beta 90.00
_cell_angle_gamma 90.00
_symmetry_space_group_name_H-M 'I -4 m 2'
_symmetry_Int_Tables_number 119
_symmetry_space_group_name_Hall 'I -4 -2'
loop_
_atom_site_label
_atom_site_type_symbol
_atom_site_fract_x
_atom_site_fract_y
_atom_site_fract_z
Ba1 Ba 0.000 0.000 0.000
Pa1 Pa 0.000 0.000 0.398
Pb1 Pb 0.000 0.500 0.250
O1 O 0.000 0.000 0.303
O2 O 0.000 0.000 0.500
O3 O 0.000 0.500 0.092
O4 O 0.000 0.500 0.587
```